(1)
For RbTi2NbO8, the PBE geometry in Alexandria gives the computed X-ray powder pattern in this record (a wavelength of 1.5418 Å).
Neutral-atom scattering factors, no anomalous dispersion.

Largest 10 diffraction maxima, by intensity, 10 to 90 degrees two-theta:
Position (°2θ)	I_rel
28.96	100
30.69	76
17.58	75
20.98	75
42.71	44
53.51	36
56.88	27
38.60	18
63.92	16
71.66	14

Atomic structure:
Cell lengths 5.826, 5.826, 7.789 Å; angles 90.00, 90.00, 120.00 degrees
Sites, in units of the cell vectors:
Rb 0.000 0.000 0.000
Ti 0.333 0.667 0.724
Ti 0.667 0.333 0.276
Nb 0.000 0.000 0.500
O 0.159 0.839 0.651
O 0.161 0.320 0.651
O 0.320 0.159 0.349
O 0.333 0.667 0.953
O 0.667 0.333 0.047
O 0.680 0.841 0.651
O 0.839 0.680 0.349
O 0.841 0.161 0.349

---

(2)
For VRuPt, the PBE geometry in Alexandria gives the computed X-ray powder pattern in this record (a wavelength of 1.5418 Å).
Neutral-atom scattering factors, no anomalous dispersion.

Largest 10 diffraction maxima, by intensity, 10 to 90 degrees two-theta:
Position (°2θ)	I_rel
37.80	100
39.88	63
38.45	29
35.99	29
44.47	27
44.75	22
50.42	22
44.27	21
40.16	19
24.43	18

Atomic structure:
Cell lengths 7.308, 7.308, 7.308 Å; angles 120.61, 86.29, 123.75 degrees
Sites, in units of the cell vectors:
V 0.171 0.038 0.208
V 0.171 0.462 0.633
V 0.438 0.748 0.190
V 0.557 0.248 0.810
V 0.829 0.538 0.367
V 0.829 0.962 0.792
Ru 0.228 0.296 0.827
Ru 0.228 0.901 0.432
Ru 0.469 0.401 0.173
Ru 0.469 0.796 0.568
Ru 0.766 0.266 0.500
Ru 0.766 0.766 0.000
Pt 0.062 0.351 0.212
Pt 0.139 0.851 0.788
Pt 0.512 0.438 0.574
Pt 0.578 0.039 0.039
Pt 0.864 0.938 0.426
Pt 0.999 0.539 0.961

---

(3)
For TbCeEr14, the PBE geometry in Alexandria gives the computed X-ray powder pattern in this record (a wavelength of 1.5418 Å).
Neutral-atom scattering factors, no anomalous dispersion.

Largest 8 diffraction maxima, by intensity, 10 to 90 degrees two-theta:
Position (°2θ)	I_rel
31.21	100
36.19	51
62.00	43
52.11	36
85.20	18
87.97	17
65.09	12
76.80	6

Atomic structure:
Cell lengths 7.019, 7.019, 9.933 Å; angles 90.00, 90.00, 90.00 degrees
Sites, in units of the cell vectors:
Tb 0.000 0.000 0.000
Ce 0.500 0.500 0.000
Er 0.000 0.000 0.500
Er 0.000 0.500 0.000
Er 0.000 0.500 0.500
Er 0.251 0.251 0.251
Er 0.251 0.251 0.749
Er 0.251 0.749 0.251
Er 0.251 0.749 0.749
Er 0.500 0.000 0.000
Er 0.500 0.000 0.500
Er 0.500 0.500 0.500
Er 0.749 0.251 0.251
Er 0.749 0.251 0.749
Er 0.749 0.749 0.251
Er 0.749 0.749 0.749